For BaZnWF7, a structure optimized by DFT (GGA+U) gives the simulated X-ray diffraction stick pattern in this record (copper Kα).
Intensities are scaled so that the largest is 100.

Cell and atoms:
abc: 5.8244 10.3269 9.9956
angles: 90.00 92.56 90.00
Space group P2_1/c (No. 14)
One atom of each set of equivalent atoms:
Ba 0.2355 0.1731 0.0038
Zn 0.1878 0.6033 0.8108
W 0.3048 0.6116 0.1839
F 0.0092 0.7117 0.2478
F 0.1006 0.5422 0.6295
F 0.1312 0.0604 0.6235
F 0.2359 0.6983 0.9922
F 0.3703 0.0503 0.3796
F 0.3986 0.5397 0.3747
F 0.4733 0.7152 0.7490

Peak list (8 most intense, 2θ from 10° to 90°, low angle first)
2θ (°)  I (rel.)  h k l
19.35  21  0 2 1
24.48  100  1 2 -1
25.52  54  1 1 2
28.17  38  0 1 3
30.17  23  1 3 0
30.73  23  2 0 0
50.73  23  3 2 -1
52.16  33  1 2 5

For BaGdFe4O7, a structure optimized by DFT (GGA+U) gives the simulated X-ray diffraction stick pattern in this record (copper Kα).
Intensities are scaled so that the largest is 100.

Cell and atoms:
abc: 6.4809 11.4225 10.6305
angles: 90.00 90.00 90.00
Space group Cmc2_1 (No. 36)
One atom of each set of equivalent atoms:
Ba 0.0000 0.1932 0.0000
Gd 0.0000 0.1607 0.6067
Fe 0.0000 0.3333 0.3002
Fe 0.0000 0.4947 0.0393
Fe 0.2388 0.0857 0.2935
O 0.0000 0.0213 0.1965
O 0.0000 0.3352 0.4793
O 0.0000 0.4923 0.2377
O 0.2358 0.3964 0.9789
O 0.2398 0.2582 0.2343

Peak list (8 most intense, 2θ from 10° to 90°, low angle first)
2θ (°)  I (rel.)  h k l
27.16  50  1 3 0
29.67  32  0 2 3
29.78  84  1 1 3
32.04  100  1 3 2
32.36  57  2 0 2
32.47  34  0 4 1
32.88  58  2 2 1
54.03  38  2 2 5

For BaGdFe2O5, a structure optimized by DFT (GGA+U) gives the simulated X-ray diffraction stick pattern in this record (copper Kα).
Intensities are scaled so that the largest is 100.

Cell and atoms:
abc: 3.9956 3.9956 7.6292
angles: 90.00 90.00 90.00
Space group P4/mmm (No. 123)
One atom of each set of equivalent atoms:
Ba 0.0000 0.0000 0.0000
Gd 0.0000 0.0000 0.5000
Fe 0.5000 0.5000 0.2668
O 0.0000 0.5000 0.3099
O 0.5000 0.5000 0.0000

Peak list (8 most intense, 2θ from 10° to 90°, low angle first)
2θ (°)  I (rel.)  h k l
22.25  19  1 0 0
31.67  45  1 1 0
32.45  100  1 0 2
39.70  21  1 1 2
45.40  30  2 0 0
56.90  39  2 1 2
58.38  20  1 1 4
67.95  13  2 0 4

For Ba3Fe2Ge4O14, a structure optimized by DFT (GGA+U) gives the simulated X-ray diffraction stick pattern in this record (copper Kα).
Intensities are scaled so that the largest is 100.

Cell and atoms:
abc: 15.0412 8.6206 5.3490
angles: 90.00 90.80 90.00
Space group C2 (No. 5)
One atom of each set of equivalent atoms:
Ba 0.0000 0.0000 0.0000
Ba 0.2071 0.6361 0.9958
Fe 0.0000 0.4282 0.0000
Fe 0.0000 0.6613 0.5000
Ge 0.1233 0.3034 0.4937
Ge 0.1667 0.9261 0.5085
O 0.0531 0.2563 0.2415
O 0.0601 0.5810 0.2249
O 0.0862 0.8101 0.6575
O 0.1073 0.4258 0.7495
O 0.1530 0.1168 0.6457
O 0.1682 0.9276 0.1860
O 0.2292 0.3609 0.3501

Peak list (8 most intense, 2θ from 10° to 90°, low angle first)
2θ (°)  I (rel.)  h k l
26.31  50  3 1 -1
26.59  100  0 2 1
28.83  27  4 0 -1
29.04  45  2 2 -1
29.23  70  2 2 1
31.54  37  5 1 0
33.51  31  0 0 2
36.02  27  3 3 0

For Ba2FeGe2O7, a structure optimized by DFT (GGA+U) gives the simulated X-ray diffraction stick pattern in this record (copper Kα).
Intensities are scaled so that the largest is 100.

Cell and atoms:
abc: 8.6109 8.6109 5.5759
angles: 90.00 90.00 90.00
Space group P-42_1m (No. 113)
One atom of each set of equivalent atoms:
Ba 0.1662 0.3338 0.4920
Fe 0.0000 0.0000 0.0000
Ge 0.1388 0.6388 0.9630
O 0.0000 0.5000 0.8383
O 0.0790 0.8123 0.8161
O 0.1362 0.6362 0.2758

Peak list (8 most intense, 2θ from 10° to 90°, low angle first)
2θ (°)  I (rel.)  h k l
26.15  19  2 0 1
28.16  100  2 1 1
32.11  13  0 0 2
32.89  22  3 1 0
46.43  12  4 1 1
46.63  19  3 1 2
54.86  16  2 1 3
60.21  14  5 2 1

For Ba2Fe3P6HO22, a structure optimized by DFT (GGA+U) gives the simulated X-ray diffraction stick pattern in this record (copper Kα).
Intensities are scaled so that the largest is 100.

Cell and atoms:
abc: 4.9197 8.0025 11.4233
angles: 89.27 89.28 87.14
Space group P-1 (No. 2)
One atom of each set of equivalent atoms:
Ba 0.2325 0.0048 0.1754
Fe 0.2246 0.4935 0.2051
Fe 0.5000 0.0000 0.5000
P 0.0255 0.7572 0.4245
P 0.2629 0.6992 0.6566
P 0.3155 0.2959 0.9488
H 0.0000 0.5000 0.0000
O 0.0084 0.6995 0.7365
O 0.0443 0.6555 0.3127
O 0.0915 0.4349 0.9130
O 0.1733 0.6468 0.5269
O 0.1913 0.9151 0.4072
O 0.2286 0.1156 0.9296
O 0.2690 0.2033 0.5397
O 0.3590 0.3212 0.0821
O 0.3685 0.8780 0.6512
O 0.4214 0.6811 0.1236
O 0.4792 0.5656 0.6899

Peak list (8 most intense, 2θ from 10° to 90°, low angle first)
2θ (°)  I (rel.)  h k l
19.58  54  1 0 1
23.10  75  -1 1 1
23.74  64  1 0 2
25.80  49  1 1 2
26.05  62  0 1 -3
29.30  100  1 2 -1
30.54  74  -1 2 1
36.58  49  1 0 -4

For BaFeP3H2O11, a structure optimized by DFT (GGA+U) gives the simulated X-ray diffraction stick pattern in this record (copper Kα).
Intensities are scaled so that the largest is 100.

Cell and atoms:
abc: 6.9743 7.7863 8.8381
angles: 107.16 101.64 95.60
Space group P1 (No. 1)
One atom of each set of equivalent atoms:
Ba 0.0000 0.0000 0.0000
Ba 0.3381 0.6614 0.3185
Fe 0.1633 0.3294 0.6576
Fe 0.6722 0.3324 0.1658
P 0.3777 0.1852 0.3576
P 0.4487 0.0337 0.7890
P 0.5681 0.5701 0.9305
P 0.7646 0.0808 0.3861
P 0.8861 0.6342 0.5385
P 0.9602 0.4750 0.9638
H 0.0165 0.8816 0.4970
H 0.3218 0.7791 0.8238
H 0.6513 0.8435 0.6618
H 0.6651 0.8251 0.1450
O 0.0017 0.5026 0.6003
O 0.0436 0.3276 0.8508
O 0.0442 0.7551 0.4837
O 0.0798 0.6650 0.0218
O 0.2558 0.9960 0.2984
O 0.2933 0.3320 0.4708
O 0.2951 0.9063 0.8407
O 0.3314 0.1623 0.7274
O 0.3888 0.5521 0.7930
O 0.4082 0.2467 0.2099
O 0.5154 0.9022 0.6449
O 0.5214 0.4902 0.0605
O 0.6007 0.1855 0.4629
O 0.6250 0.1267 0.9357
O 0.6606 0.7761 0.0127
O 0.6695 0.8797 0.3018
O 0.7159 0.5336 0.3862
O 0.7368 0.4738 0.8570
O 0.8142 0.7661 0.6742
O 0.8162 0.1651 0.2587
O 0.9306 0.4146 0.1120
O 0.9462 0.1034 0.5246

Peak list (8 most intense, 2θ from 10° to 90°, low angle first)
2θ (°)  I (rel.)  h k l
22.51  68  1 0 -2
23.16  68  0 2 -1
25.49  78  1 1 1
26.01  100  1 -2 1
28.11  42  1 0 2
29.50  69  1 2 -2
29.99  53  2 0 -2
31.06  41  2 0 1

For BaFe2P4H4O17, a structure optimized by DFT (GGA+U) gives the simulated X-ray diffraction stick pattern in this record (copper Kα).
Intensities are scaled so that the largest is 100.

Cell and atoms:
abc: 9.4167 8.1059 9.5385
angles: 90.00 116.83 90.00
Space group P2_1 (No. 4)
One atom of each set of equivalent atoms:
Ba 0.1716 0.0000 0.3460
Fe 0.2410 0.7418 0.7535
Fe 0.2641 0.5080 0.2429
P 0.0176 0.5599 0.4107
P 0.0731 0.8072 0.9835
P 0.4263 0.4353 0.0073
P 0.4805 0.6890 0.5881
H 0.1470 0.2663 0.7094
H 0.2317 0.2795 0.9912
H 0.2688 0.9639 0.0018
H 0.4699 0.5016 0.7489
O 0.0348 0.2373 0.6745
O 0.0783 0.5909 0.5884
O 0.0917 0.7088 0.8543
O 0.1001 0.3589 0.0640
O 0.1309 0.9518 0.6439
O 0.1413 0.7163 0.1418
O 0.1451 0.4929 0.3705
O 0.1689 0.9773 0.0137
O 0.3207 0.2708 0.9617
O 0.3387 0.2007 0.6149
O 0.3454 0.7743 0.6083
O 0.3636 0.2875 0.3441
O 0.3760 0.5370 0.8542
O 0.3953 0.5273 0.1304
O 0.3990 0.8811 0.9348
O 0.4318 0.6521 0.4129
O 0.4787 0.0162 0.3237

Peak list (8 most intense, 2θ from 10° to 90°, low angle first)
2θ (°)  I (rel.)  h k l
15.14  41  1 1 0
15.49  21  1 1 -1
23.86  29  2 1 0
24.33  22  0 2 1
28.43  100  1 2 1
30.42  19  1 1 -3
31.03  33  2 1 -3
31.26  43  3 1 -2

- Which formula does entry 4 have?
  Ba3Fe2Ge4O14